# MgZn2Ag4O8
Theoretical PXRD pattern, Cu Kα (λ = 1.5418 Å). Input: a DFT-relaxed cell (GGA-PBE, the Materials Project).

Structural model:
abc: 6.247 6.267 6.490
angles: 64.53 64.83 60.33
Positions (direct):
Mg 0.000 0.000 0.000
Zn 0.137 0.134 0.540
Zn 0.495 0.495 0.999
Ag 0.497 0.497 0.498
Ag 0.500 0.998 0.001
Ag 0.873 0.873 0.473
Ag 0.998 0.500 0.002
O 0.213 0.210 0.758
O 0.223 0.733 0.781
O 0.271 0.270 0.200
O 0.280 0.774 0.206
O 0.716 0.716 0.828
O 0.733 0.223 0.780
O 0.776 0.279 0.205
O 0.784 0.788 0.231

Principal peaks in the range 15 to 90 degrees two-theta, sorted by position:
5.040 Å, 17.60°, intensity 61
2.820 Å, 31.73°, intensity 100
2.805 Å, 31.90°, intensity 73
2.752 Å, 32.54°, intensity 66
2.741 Å, 32.67°, intensity 65
2.672 Å, 33.54°, intensity 58
2.660 Å, 33.70°, intensity 58
2.614 Å, 34.31°, intensity 59
2.257 Å, 39.95°, intensity 48
2.243 Å, 40.20°, intensity 47

=====

# MgZn2Ag4O8
Theoretical PXRD pattern, Cu Kα (λ = 1.5418 Å). Input: a DFT-relaxed cell (GGA-PBE, the Materials Project).

Structural model:
abc: 10.625 5.942 5.942
angles: 33.89 90.00 90.00
Positions (direct):
Mg 0.000 0.000 0.000
Zn 0.000 0.753 0.753
Zn 0.500 0.667 0.667
Ag 0.231 0.277 0.277
Ag 0.312 0.012 0.012
Ag 0.688 0.012 0.012
Ag 0.769 0.277 0.277
O 0.000 0.168 0.168
O 0.139 0.888 0.888
O 0.309 0.684 0.684
O 0.439 0.391 0.391
O 0.500 0.084 0.084
O 0.561 0.391 0.391
O 0.691 0.684 0.684
O 0.861 0.888 0.888

Principal peaks in the range 15 to 90 degrees two-theta, sorted by position:
5.313 Å, 16.69°, intensity 38
5.012 Å, 17.70°, intensity 51
3.313 Å, 26.91°, intensity 34
3.006 Å, 29.72°, intensity 31
2.842 Å, 31.48°, intensity 36
2.811 Å, 31.83°, intensity 100
2.557 Å, 35.10°, intensity 71
2.506 Å, 35.83°, intensity 48
2.420 Å, 37.16°, intensity 45
2.304 Å, 39.10°, intensity 58